# 1
CeMn2Ge4O12: computed XRD peak list (Cu Ka), based on the PBE+U geometry in the Materials Project.
No peak broadening, texture or thermal motion is included.

Atomic structure:
```
data_CeMn2Ge4O12
_chemical_formula_sum 'Ce2 Mn4 Ge8 O24'
_cell_length_a 9.989
_cell_length_b 9.989
_cell_length_c 4.969
_cell_angle_alpha 90.00
_cell_angle_beta 90.00
_cell_angle_gamma 90.00
_space_group_name_H-M_alt 'P 4/n b m'
_space_group_IT_number 125
loop_
_space_group_symop_operation_xyz
'x,y,z'
'-x,-y,-z'
'-y+1/2,x,z'
'y+1/2,-x,-z'
'-x+1/2,-y+1/2,z'
'x+1/2,y+1/2,-z'
'y,-x+1/2,z'
'-y,x+1/2,-z'
'x,-y+1/2,-z'
'-x,y+1/2,z'
'-y+1/2,-x+1/2,-z'
'y+1/2,x+1/2,z'
'-x+1/2,y,-z'
'x+1/2,-y,z'
'y,x,-z'
'-y,-x,z'
loop_
_atom_site_label
_atom_site_fract_x
_atom_site_fract_y
_atom_site_fract_z
Ce1 0.250 0.250 0.000
Mn1 0.000 0.000 0.000
Ge1 0.024 0.750 0.500
O1 0.064 0.167 0.244
O2 0.130 0.630 0.673
```

Peak list (10 most intense, 10 to 80 degrees two-theta, by angle)
Position (°2θ)  I_rel  index
12.5  16.0  1 1 0
21.9  34.9  1 1 1
28.3  11.1  3 1 0
31.1  100.0  2 2 1
36.0  21.0  4 0 0
50.1  11.3  5 1 1
51.8  12.4  4 4 0
51.9  27.5  4 0 2
61.6  22.3  6 2 1
61.9  13.5  2 2 3

# 2
KCeMgWO6: computed XRD peak list (Cu Ka), based on the PBE+U geometry in the Materials Project.
No peak broadening, texture or thermal motion is included.

Atomic structure:
```
data_KCeMgWO6
_chemical_formula_sum 'K4 Ce4 Mg4 W4 O24'
_cell_length_a 7.984
_cell_length_b 7.984
_cell_length_c 7.984
_cell_angle_alpha 90.00
_cell_angle_beta 90.00
_cell_angle_gamma 90.00
_space_group_name_H-M_alt 'F -4 3 m'
_space_group_IT_number 216
_space_group_name_Hall 'F -4 2 3'
loop_
_atom_site_label
_atom_site_fract_x
_atom_site_fract_y
_atom_site_fract_z
K1 0.000 0.000 0.000
Ce1 0.000 0.000 0.500
Mg1 0.250 0.250 0.250
W1 0.250 0.250 0.750
O1 0.007 0.250 0.750
```

Peak list (10 most intense, 10 to 80 degrees two-theta, by angle)
Position (°2θ)  I_rel  index
19.3  62.8  1 1 1
31.7  100.0  2 2 0
37.4  34.6  3 1 1
45.4  33.6  4 0 0
49.8  14.9  3 3 1
56.5  39.5  4 2 2
60.2  12.5  5 1 1
66.2  20.1  4 4 0
69.7  12.2  5 3 1
75.3  17.2  6 2 0